Record 1
For PrNpCr2O8, a cell relaxed with PBE+U gives the calculated powder diffraction line list in this record (Cu Kα, 1.54184 Å).
Lines closer than 0.1° are merged.

Crystal structure
Lattice parameters (Å, degrees): 4.886 4.894 7.099 84.67 84.73 84.08
Positions (direct):
Pr (0.000, 0.000, 0.000)
Np (0.000, 0.000, 0.500)
Cr (0.465, 0.465, 0.215)
Cr (0.535, 0.535, 0.785)
O (0.201, 0.783, 0.276)
O (0.215, 0.797, 0.725)
O (0.268, 0.266, 0.449)
O (0.332, 0.329, 0.998)
O (0.668, 0.671, 0.002)
O (0.732, 0.734, 0.551)
O (0.785, 0.203, 0.275)
O (0.799, 0.217, 0.724)

Largest 6 diffraction maxima, in order of falling intensity, 10 to 90 degrees two-theta:
- 18.30 deg, 4.847 Å, rel. 100
- 30.09 deg, 2.970 Å, rel. 90
- 24.71 deg, 3.604 Å, rel. 89
- 27.23 deg, 3.274 Å, rel. 70
- 32.65 deg, 2.742 Å, rel. 65
- 37.50 deg, 2.398 Å, rel. 38

***

Record 2
For PaMn4Zn3O12, a cell relaxed with PBE+U gives the calculated powder diffraction line list in this record (Cu Kα, 1.54184 Å).
Lines closer than 0.1° are merged.

Crystal structure
Lattice parameters (Å, degrees): 6.520 6.520 6.520 109.47 109.47 109.47
Positions (direct):
Pa (0.000, 0.000, 0.000)
Mn (0.000, 0.000, 0.500)
Mn (0.000, 0.500, 0.000)
Mn (0.500, 0.000, 0.000)
Mn (0.500, 0.500, 0.500)
Zn (0.000, 0.500, 0.500)
Zn (0.500, 0.000, 0.500)
Zn (0.500, 0.500, 0.000)
O (0.116, 0.289, 0.827)
O (0.173, 0.462, 0.289)
O (0.173, 0.884, 0.711)
O (0.289, 0.173, 0.462)
O (0.289, 0.827, 0.116)
O (0.462, 0.289, 0.173)
O (0.538, 0.711, 0.827)
O (0.711, 0.173, 0.884)
O (0.711, 0.827, 0.538)
O (0.827, 0.116, 0.289)
O (0.827, 0.538, 0.711)
O (0.884, 0.711, 0.173)

Largest 6 diffraction maxima, in order of falling intensity, 10 to 90 degrees two-theta:
- 33.67 deg, 2.662 Å, rel. 100
- 60.22 deg, 1.537 Å, rel. 47
- 16.65 deg, 5.323 Å, rel. 38
- 48.36 deg, 1.882 Å, rel. 26
- 45.06 deg, 2.012 Å, rel. 18
- 80.73 deg, 1.190 Å, rel. 16